Entry 1:
The following is a computed powder XRD pattern of Sr2MgMoO6. It was derived from a cell relaxed with PBE+U, using Cu Kα X-rays.
Neutral-atom scattering factors, no anomalous dispersion.

Structural model:
```
data_Sr2MgMoO6
_cell_length_a 8.003
_cell_length_b 8.003
_cell_length_c 8.003
_cell_angle_alpha 90.00
_cell_angle_beta 90.00
_cell_angle_gamma 90.00
_space_group_name_H-M_alt 'F m -3 m'
_space_group_IT_number 225
_space_group_name_Hall '-F 4 2 3'
loop_
_atom_site_label
_atom_site_type_symbol
_atom_site_fract_x
_atom_site_fract_y
_atom_site_fract_z
Sr1 Sr 0.250 0.250 0.250
Mg1 Mg 0.000 0.000 0.000
Mo1 Mo 0.000 0.000 0.500
O1 O 0.000 0.000 0.257
```

The 6 most intense peaks (2θ from 10° to 80°), in order of falling intensity:
- d = 2.829 Å, 2θ 31.62, intensity 100
- d = 2.001 Å, 2θ 45.33, intensity 39
- d = 1.634 Å, 2θ 56.32, intensity 39
- d = 1.415 Å, 2θ 66.04, intensity 23
- d = 4.621 Å, 2θ 19.21, intensity 19
- d = 1.265 Å, 2θ 75.07, intensity 17

***

Entry 2:
The following is a computed powder XRD pattern of Sr7CaMn3Fe5O24. It was derived from a cell relaxed with PBE+U, using Cu Kα X-rays.
Neutral-atom scattering factors, no anomalous dispersion.

Structural model:
```
data_Sr7CaMn3Fe5O24
_cell_length_a 11.027
_cell_length_b 11.025
_cell_length_c 7.823
_cell_angle_alpha 90.00
_cell_angle_beta 90.00
_cell_angle_gamma 90.00
_space_group_name_H-M_alt 'C 1 m 1'
_space_group_IT_number 8
_space_group_name_Hall 'C -2y'
loop_
_atom_site_label
_atom_site_type_symbol
_atom_site_fract_x
_atom_site_fract_y
_atom_site_fract_z
Sr1 Sr 0.000 0.000 0.000
Sr2 Sr 0.000 0.000 0.498
Sr3 Sr 0.250 0.250 0.000
Sr4 Sr 0.250 0.250 0.498
Sr5 Sr 0.499 0.000 0.000
Ca1 Ca 0.499 0.000 0.498
Mn1 Mn 0.000 0.250 0.250
Mn2 Mn 0.250 0.000 0.250
Fe1 Fe 0.000 0.250 0.749
Fe2 Fe 0.249 0.500 0.250
Fe3 Fe 0.249 0.500 0.749
Fe4 Fe 0.250 0.000 0.749
O1 O 0.000 0.250 0.002
O2 O 0.000 0.252 0.496
O3 O 0.122 0.374 0.251
O4 O 0.124 0.377 0.747
O5 O 0.125 0.125 0.250
O6 O 0.125 0.125 0.749
O7 O 0.247 0.500 0.501
O8 O 0.249 0.500 0.997
O9 O 0.250 0.000 0.002
O10 O 0.252 0.000 0.496
O11 O 0.374 0.375 0.749
O12 O 0.376 0.124 0.252
O13 O 0.376 0.124 0.747
O14 O 0.376 0.373 0.250
```

The 6 most intense peaks (2θ from 10° to 80°), in order of falling intensity:
- d = 2.760 Å, 2θ 32.44, intensity 100
- d = 1.949 Å, 2θ 46.60, intensity 27
- d = 1.592 Å, 2θ 57.91, intensity 25
- d = 1.381 Å, 2θ 67.89, intensity 15
- d = 1.956 Å, 2θ 46.43, intensity 13
- d = 2.253 Å, 2θ 40.02, intensity 13

***

Entry 3:
The following is a computed powder XRD pattern of Li4FeP6H12O24. It was derived from a cell relaxed with PBE+U, using Cu Kα X-rays.
Neutral-atom scattering factors, no anomalous dispersion.

Structural model:
```
data_Li4FeP6H12O24
_cell_length_a 7.200
_cell_length_b 9.146
_cell_length_c 9.550
_cell_angle_alpha 62.02
_cell_angle_beta 71.89
_cell_angle_gamma 70.82
_space_group_name_H-M_alt 'P -1'
_space_group_IT_number 2
_space_group_name_Hall '-P 1'
loop_
_atom_site_label
_atom_site_type_symbol
_atom_site_fract_x
_atom_site_fract_y
_atom_site_fract_z
Li1 Li 0.130 0.212 0.043
Li2 Li 0.330 0.853 0.874
Fe1 Fe 0.500 0.000 0.500
P1 P 0.189 0.752 0.641
P2 P 0.347 0.892 0.285
P3 P 0.459 0.417 0.771
H1 H 0.011 0.918 0.152
H2 H 0.165 0.215 0.407
H3 H 0.178 0.149 0.735
H4 H 0.205 0.610 0.131
H5 H 0.216 0.550 0.001
H6 H 0.284 0.324 0.417
O1 O 0.024 0.237 0.271
O2 O 0.127 0.082 0.848
O3 O 0.162 0.652 0.026
O4 O 0.184 0.837 0.451
O5 O 0.243 0.952 0.148
O6 O 0.246 0.212 0.477
O7 O 0.294 0.559 0.664
O8 O 0.322 0.826 0.674
O9 O 0.351 0.523 0.276
O10 O 0.358 0.348 0.946
O11 O 0.455 0.007 0.286
O12 O 0.488 0.282 0.696
```

The 6 most intense peaks (2θ from 10° to 80°), in order of falling intensity:
- d = 6.679 Å, 2θ 13.26, intensity 100
- d = 8.284 Å, 2θ 10.68, intensity 68
- d = 6.262 Å, 2θ 14.14, intensity 65
- d = 3.110 Å, 2θ 28.70, intensity 53
- d = 5.752 Å, 2θ 15.40, intensity 53
- d = 7.883 Å, 2θ 11.22, intensity 43

***

Entry 4:
The following is a computed powder XRD pattern of Mn2OF3. It was derived from a cell relaxed with PBE+U, using Cu Kα X-rays.
Neutral-atom scattering factors, no anomalous dispersion.

Structural model:
```
data_Mn2OF3
_cell_length_a 6.2012
_cell_length_b 6.2012
_cell_length_c 4.8619
_cell_angle_alpha 90.00
_cell_angle_beta 90.00
_cell_angle_gamma 120.00
_space_group_name_H-M_alt 'P -3 m 1'
_space_group_IT_number 164
_space_group_name_Hall '-P 3 2"'
loop_
_atom_site_label
_atom_site_type_symbol
_atom_site_fract_x
_atom_site_fract_y
_atom_site_fract_z
Mn1 Mn 0.0000 0.0000 0.0000
Mn2 Mn 0.0000 0.5000 0.5000
O1 O 0.3333 0.6667 0.6551
F1 F 0.1622 0.3243 0.2579
```

The 6 most intense peaks (2θ from 10° to 80°), in order of falling intensity:
- d = 3.604 Å, 2θ 24.70, intensity 100
- d = 1.802 Å, 2θ 50.65, intensity 70
- d = 2.351 Å, 2θ 38.29, intensity 52
- d = 4.862 Å, 2θ 18.25, intensity 46
- d = 1.550 Å, 2θ 59.63, intensity 37
- d = 2.685 Å, 2θ 33.37, intensity 33

***

Entry 5:
The following is a computed powder XRD pattern of Sr2CrCO3F5. It was derived from a cell relaxed with PBE+U, using Cu Kα X-rays.
Neutral-atom scattering factors, no anomalous dispersion.

Structural model:
```
data_Sr2CrCO3F5
_cell_length_a 5.593
_cell_length_b 8.979
_cell_length_c 13.855
_cell_angle_alpha 90.00
_cell_angle_beta 105.48
_cell_angle_gamma 90.00
_space_group_name_H-M_alt 'P 1 21/c 1'
_space_group_IT_number 14
_space_group_name_Hall '-P 2ybc'
loop_
_atom_site_label
_atom_site_type_symbol
_atom_site_fract_x
_atom_site_fract_y
_atom_site_fract_z
Sr1 Sr 0.191 0.108 0.403
Sr2 Sr 0.193 0.642 0.412
Cr1 Cr 0.303 0.628 0.670
C1 C 0.321 0.124 0.637
O1 O 0.089 0.121 0.585
O2 O 0.368 0.129 0.734
O3 O 0.494 0.123 0.591
F1 F 0.023 0.129 0.933
F2 F 0.164 0.719 0.237
F3 F 0.169 0.036 0.229
F4 F 0.396 0.717 0.087
F5 F 0.418 0.012 0.085
```

The 6 most intense peaks (2θ from 10° to 80°), in order of falling intensity:
- d = 3.487 Å, 2θ 25.54, intensity 100
- d = 1.987 Å, 2θ 45.66, intensity 25
- d = 3.161 Å, 2θ 28.23, intensity 23
- d = 3.253 Å, 2θ 27.42, intensity 22
- d = 3.338 Å, 2θ 26.71, intensity 18
- d = 3.210 Å, 2θ 27.79, intensity 17

***

Entry 6:
The following is a computed powder XRD pattern of TiV4FeO12. It was derived from a cell relaxed with PBE+U, using Cu Kα X-rays.
Neutral-atom scattering factors, no anomalous dispersion.

Structural model:
```
data_TiV4FeO12
_cell_length_a 10.182
_cell_length_b 9.254
_cell_length_c 5.740
_cell_angle_alpha 90.00
_cell_angle_beta 110.02
_cell_angle_gamma 90.00
_space_group_name_H-M_alt 'C 1 2 1'
_space_group_IT_number 5
_space_group_name_Hall 'C 2y'
loop_
_atom_site_label
_atom_site_type_symbol
_atom_site_fract_x
_atom_site_fract_y
_atom_site_fract_z
Ti1 Ti 0.000 0.000 0.000
V1 V 0.203 0.497 0.501
V2 V 0.210 0.307 0.000
Fe1 Fe 0.000 0.819 0.500
O1 O 0.106 0.837 0.885
O2 O 0.111 0.982 0.368
O3 O 0.133 0.131 0.971
O4 O 0.135 0.397 0.695
O5 O 0.147 0.422 0.202
O6 O 0.149 0.671 0.486
```

The 6 most intense peaks (2θ from 10° to 80°), in order of falling intensity:
- d = 3.190 Å, 2θ 27.97, intensity 100
- d = 3.015 Å, 2θ 29.63, intensity 56
- d = 4.783 Å, 2θ 18.55, intensity 56
- d = 2.697 Å, 2θ 33.22, intensity 46
- d = 4.627 Å, 2θ 19.18, intensity 42
- d = 2.571 Å, 2θ 34.90, intensity 26

***

Entry 7:
The following is a computed powder XRD pattern of VPO5. It was derived from a cell relaxed with PBE+U, using Cu Kα X-rays.
Neutral-atom scattering factors, no anomalous dispersion.

Structural model:
```
data_VPO5
_cell_length_a 12.580
_cell_length_b 6.235
_cell_length_c 10.615
_cell_angle_alpha 90.00
_cell_angle_beta 90.00
_cell_angle_gamma 90.00
_space_group_name_H-M_alt 'P n a 21'
_space_group_IT_number 33
_space_group_name_Hall 'P 2c -2n'
loop_
_atom_site_label
_atom_site_type_symbol
_atom_site_fract_x
_atom_site_fract_y
_atom_site_fract_z
V1 V 0.116 0.001 0.000
V2 V 0.250 0.273 0.756
P1 P 0.003 0.837 0.263
P2 P 0.186 0.496 0.021
O1 O 0.007 0.024 0.886
O2 O 0.013 0.980 0.148
O3 O 0.098 0.305 0.753
O4 O 0.103 0.696 0.284
O5 O 0.114 0.300 0.047
O6 O 0.114 0.693 0.997
O7 O 0.216 0.037 0.899
O8 O 0.221 0.959 0.149
O9 O 0.243 0.042 0.637
O10 O 0.244 0.954 0.403
```

The 6 most intense peaks (2θ from 10° to 80°), in order of falling intensity:
- d = 5.376 Å, 2θ 16.49, intensity 100
- d = 5.411 Å, 2θ 16.38, intensity 91
- d = 3.080 Å, 2θ 28.99, intensity 34
- d = 5.586 Å, 2θ 15.86, intensity 33
- d = 2.704 Å, 2θ 33.12, intensity 28
- d = 2.688 Å, 2θ 33.33, intensity 23

***

Entry 8:
The following is a computed powder XRD pattern of Li4MnCo2NiO8. It was derived from a cell relaxed with PBE+U, using Cu Kα X-rays.
Neutral-atom scattering factors, no anomalous dispersion.

Structural model:
```
data_Li4MnCo2NiO8
_cell_length_a 2.9266
_cell_length_b 2.9266
_cell_length_c 57.6382
_cell_angle_alpha 90.00
_cell_angle_beta 90.00
_cell_angle_gamma 120.00
_space_group_name_H-M_alt 'R 3 m'
_space_group_IT_number 160
_space_group_name_Hall 'R 3 -2"'
loop_
_atom_site_label
_atom_site_type_symbol
_atom_site_fract_x
_atom_site_fract_y
_atom_site_fract_z
Li1 Li 0.0000 0.0000 0.0000
Li2 Li 0.0000 0.0000 0.2461
Li3 Li 0.0000 0.0000 0.4983
Li4 Li 0.0000 0.0000 0.7500
Mn1 Mn 0.0000 0.0000 0.6238
Co1 Co 0.0000 0.0000 0.1233
Co2 Co 0.0000 0.0000 0.3740
Ni1 Ni 0.0000 0.0000 0.8733
O1 O 0.0000 0.0000 0.0595
O2 O 0.0000 0.0000 0.1879
O3 O 0.0000 0.0000 0.3097
O4 O 0.0000 0.0000 0.4391
O5 O 0.0000 0.0000 0.5595
O6 O 0.0000 0.0000 0.6878
O7 O 0.0000 0.0000 0.8072
O8 O 0.0000 0.0000 0.9382
```

The 6 most intense peaks (2θ from 10° to 80°), in order of falling intensity:
- d = 4.803 Å, 2θ 18.47, intensity 100
- d = 2.073 Å, 2θ 43.67, intensity 75
- d = 2.496 Å, 2θ 35.98, intensity 42
- d = 1.463 Å, 2θ 63.58, intensity 21
- d = 1.468 Å, 2θ 63.35, intensity 20
- d = 1.400 Å, 2θ 66.84, intensity 15

***

What is the formula in the fourth record? Mn2OF3

***

What did the second record say?
The following is a computed powder XRD pattern of Sr7CaMn3Fe5O24. It was derived from a cell relaxed with PBE+U, using Cu Kα X-rays.
Neutral-atom scattering factors, no anomalous dispersion.

Structural model:
```
data_Sr7CaMn3Fe5O24
_cell_length_a 11.027
_cell_length_b 11.025
_cell_length_c 7.823
_cell_angle_alpha 90.00
_cell_angle_beta 90.00
_cell_angle_gamma 90.00
_space_group_name_H-M_alt 'C 1 m 1'
_space_group_IT_number 8
_space_group_name_Hall 'C -2y'
loop_
_atom_site_label
_atom_site_type_symbol
_atom_site_fract_x
_atom_site_fract_y
_atom_site_fract_z
Sr1 Sr 0.000 0.000 0.000
Sr2 Sr 0.000 0.000 0.498
Sr3 Sr 0.250 0.250 0.000
Sr4 Sr 0.250 0.250 0.498
Sr5 Sr 0.499 0.000 0.000
Ca1 Ca 0.499 0.000 0.498
Mn1 Mn 0.000 0.250 0.250
Mn2 Mn 0.250 0.000 0.250
Fe1 Fe 0.000 0.250 0.749
Fe2 Fe 0.249 0.500 0.250
Fe3 Fe 0.249 0.500 0.749
Fe4 Fe 0.250 0.000 0.749
O1 O 0.000 0.250 0.002
O2 O 0.000 0.252 0.496
O3 O 0.122 0.374 0.251
O4 O 0.124 0.377 0.747
O5 O 0.125 0.125 0.250
O6 O 0.125 0.125 0.749
O7 O 0.247 0.500 0.501
O8 O 0.249 0.500 0.997
O9 O 0.250 0.000 0.002
O10 O 0.252 0.000 0.496
O11 O 0.374 0.375 0.749
O12 O 0.376 0.124 0.252
O13 O 0.376 0.124 0.747
O14 O 0.376 0.373 0.250
```

The 6 most intense peaks (2θ from 10° to 80°), in order of falling intensity:
- d = 2.760 Å, 2θ 32.44, intensity 100
- d = 1.949 Å, 2θ 46.60, intensity 27
- d = 1.592 Å, 2θ 57.91, intensity 25
- d = 1.381 Å, 2θ 67.89, intensity 15
- d = 1.956 Å, 2θ 46.43, intensity 13
- d = 2.253 Å, 2θ 40.02, intensity 13